# MgMn6O11F
Calculated PXRD pattern, Cu Kα X-rays. Input: a structure optimized by DFT (GGA+U).
Neutral-atom scattering factors, no anomalous dispersion.

Most intense lines, 10° ≤ 2θ ≤ 80°, sorted by position:
2theta	I/Imax	hkl
24.9	100	1 1 1
27.5	77	-1 1 1
35.4	25	1 1 -2
35.5	26	1 -1 2
36.0	22	0 2 -1
53.6	20	2 -2 1

```
data_MgMn6O11F
_symmetry_space_group_name_H-M 'P 1'
_symmetry_Int_Tables_number 1
_cell_length_a 4.965
_cell_length_b 5.562
_cell_length_c 7.523
_cell_angle_alpha 83.47
_cell_angle_beta 86.64
_cell_angle_gamma 85.11
loop_
_symmetry_equiv_pos_as_xyz
'x,y,z'
loop_
_atom_site_label
_atom_site_type_symbol
_atom_site_fract_x
_atom_site_fract_y
_atom_site_fract_z
Mg1 Mg 0.000 0.000 0.000
Mn1 Mn 0.487 0.495 0.512
Mn2 Mn 0.496 0.160 0.839
Mn3 Mn 0.514 0.855 0.198
Mn4 Mn 0.967 0.622 0.816
Mn5 Mn 0.988 0.995 0.513
Mn6 Mn 0.993 0.354 0.201
O1 O 0.129 0.931 0.748
O2 O 0.163 0.291 0.419
O3 O 0.295 0.797 0.415
O4 O 0.301 0.457 0.745
O5 O 0.310 0.145 0.082
O6 O 0.668 0.184 0.603
O7 O 0.673 0.851 0.949
O8 O 0.676 0.537 0.280
O9 O 0.802 0.692 0.601
O10 O 0.836 0.346 0.955
O11 O 0.841 0.047 0.269
F1 F 0.155 0.656 0.077
```

# Co2P2H4PbO10
Calculated PXRD pattern, Cu Kα X-rays. Input: a structure optimized by DFT (GGA+U).
Neutral-atom scattering factors, no anomalous dispersion.

Most intense lines, 10° ≤ 2θ ≤ 80°, sorted by position:
2theta	I/Imax	hkl
19.0	100	1 1 -1
20.0	64	1 0 -2
27.4	82	2 1 -1
29.5	63	1 0 2
30.9	83	1 2 0
38.5	55	2 2 -2

```
data_Co2P2H4PbO10
_symmetry_space_group_name_H-M 'P 1 21/m 1'
_symmetry_Int_Tables_number 11
_cell_length_a 7.574
_cell_length_b 6.379
_cell_length_c 9.043
_cell_angle_alpha 90.00
_cell_angle_beta 114.39
_cell_angle_gamma 90.00
loop_
_symmetry_equiv_pos_as_xyz
'x,y,z'
'-x,-y,-z'
'-x,y+1/2,-z'
'x,-y+1/2,z'
loop_
_atom_site_label
_atom_site_type_symbol
_atom_site_fract_x
_atom_site_fract_y
_atom_site_fract_z
Co1 Co 0.000 0.000 0.000
Co2 Co 0.000 0.000 0.500
P1 P 0.269 0.250 0.322
P2 P 0.289 0.750 0.838
H1 H 0.051 0.250 0.783
H2 H 0.189 0.750 0.395
H3 H 0.250 0.250 0.964
H4 H 0.421 0.750 0.624
Pb1 Pb 0.490 0.250 0.767
O1 O 0.058 0.750 0.391
O2 O 0.105 0.250 0.912
O3 O 0.160 0.750 0.937
O4 O 0.176 0.250 0.446
O5 O 0.230 0.047 0.221
O6 O 0.251 0.553 0.726
O7 O 0.496 0.250 0.035
O8 O 0.499 0.250 0.439
```

# Li9Mn2Co5O16
Calculated PXRD pattern, Cu Kα X-rays. Input: a structure optimized by DFT (GGA+U).
Neutral-atom scattering factors, no anomalous dispersion.

Most intense lines, 10° ≤ 2θ ≤ 80°, sorted by position:
2theta	I/Imax	hkl
18.3	100	0 1 -2
35.0	16	1 1 3
36.2	25	0 2 4
42.1	31	1 0 5
43.9	27	1 1 -5
44.0	26	0 3 2

```
data_Li9Mn2Co5O16
_symmetry_space_group_name_H-M 'P 1'
_symmetry_Int_Tables_number 1
_cell_length_a 2.962
_cell_length_b 6.523
_cell_length_c 15.473
_cell_angle_alpha 88.12
_cell_angle_beta 87.64
_cell_angle_gamma 77.08
loop_
_symmetry_equiv_pos_as_xyz
'x,y,z'
loop_
_atom_site_label
_atom_site_type_symbol
_atom_site_fract_x
_atom_site_fract_y
_atom_site_fract_z
Li1 Li 0.000 0.000 0.000
Li2 Li 0.031 0.889 0.177
Li3 Li 0.102 0.762 0.368
Li4 Li 0.235 0.503 0.742
Li5 Li 0.369 0.239 0.119
Li6 Li 0.485 0.004 0.492
Li7 Li 0.602 0.758 0.864
Li8 Li 0.742 0.505 0.245
Li9 Li 0.858 0.254 0.617
Mn1 Mn 0.304 0.377 0.931
Mn2 Mn 0.676 0.638 0.060
Co1 Co 0.176 0.621 0.555
Co2 Co 0.425 0.121 0.301
Co3 Co 0.544 0.872 0.679
Co4 Co 0.802 0.378 0.429
Co5 Co 0.926 0.130 0.803
O1 O 0.006 0.924 0.590
O2 O 0.081 0.824 0.768
O3 O 0.172 0.675 0.972
O4 O 0.191 0.575 0.139
O5 O 0.286 0.417 0.337
O6 O 0.325 0.328 0.521
O7 O 0.381 0.182 0.717
O8 O 0.467 0.076 0.892
O9 O 0.525 0.920 0.083
O10 O 0.562 0.850 0.281
O11 O 0.660 0.672 0.463
O12 O 0.689 0.571 0.644
O13 O 0.738 0.438 0.842
O14 O 0.858 0.191 0.220
O15 O 0.863 0.331 0.022
O16 O 0.980 0.086 0.396
```

Please write out number 1 again, unchanged.
# MgMn6O11F
Calculated PXRD pattern, Cu Kα X-rays. Input: a structure optimized by DFT (GGA+U).
Neutral-atom scattering factors, no anomalous dispersion.

Most intense lines, 10° ≤ 2θ ≤ 80°, sorted by position:
2theta	I/Imax	hkl
24.9	100	1 1 1
27.5	77	-1 1 1
35.4	25	1 1 -2
35.5	26	1 -1 2
36.0	22	0 2 -1
53.6	20	2 -2 1

```
data_MgMn6O11F
_symmetry_space_group_name_H-M 'P 1'
_symmetry_Int_Tables_number 1
_cell_length_a 4.965
_cell_length_b 5.562
_cell_length_c 7.523
_cell_angle_alpha 83.47
_cell_angle_beta 86.64
_cell_angle_gamma 85.11
loop_
_symmetry_equiv_pos_as_xyz
'x,y,z'
loop_
_atom_site_label
_atom_site_type_symbol
_atom_site_fract_x
_atom_site_fract_y
_atom_site_fract_z
Mg1 Mg 0.000 0.000 0.000
Mn1 Mn 0.487 0.495 0.512
Mn2 Mn 0.496 0.160 0.839
Mn3 Mn 0.514 0.855 0.198
Mn4 Mn 0.967 0.622 0.816
Mn5 Mn 0.988 0.995 0.513
Mn6 Mn 0.993 0.354 0.201
O1 O 0.129 0.931 0.748
O2 O 0.163 0.291 0.419
O3 O 0.295 0.797 0.415
O4 O 0.301 0.457 0.745
O5 O 0.310 0.145 0.082
O6 O 0.668 0.184 0.603
O7 O 0.673 0.851 0.949
O8 O 0.676 0.537 0.280
O9 O 0.802 0.692 0.601
O10 O 0.836 0.346 0.955
O11 O 0.841 0.047 0.269
F1 F 0.155 0.656 0.077
```

> Which formula does entry 1 have?

MgMn6O11F

> Number 3 is which compound?

Li9Mn2Co5O16